Structure and simulated powder X-ray diffraction pattern of LiCuPO4 (DFT lattice parameters and positions (GGA-PBE); CuKα).
Neutral-atom scattering factors, no anomalous dispersion.

Cell and atoms:
Cell lengths 5.3743, 9.3219, 8.3195 Å; angles 90.00, 108.76, 90.00 degrees
Fractional positions:
Li 0.1158 0.0000 0.3045
Li 0.1395 0.9334 0.8626
Li 0.8605 0.4334 0.1374
Li 0.8842 0.5000 0.6955
Cu 0.4413 0.5635 0.3989
Cu 0.4650 0.3256 0.8851
Cu 0.5350 0.8256 0.1149
Cu 0.5587 0.0635 0.6011
P 0.2540 0.5990 0.0130
P 0.2728 0.3447 0.5189
P 0.7272 0.8447 0.4811
P 0.7460 0.0990 0.9870
O 0.0163 0.0304 0.0478
O 0.1143 0.4387 0.3648
O 0.1821 0.3717 0.6770
O 0.2613 0.1835 0.4726
O 0.2846 0.7330 0.9085
O 0.3256 0.6732 0.1957
O 0.4415 0.9070 0.4402
O 0.4757 0.4874 0.0298
O 0.5243 0.9874 0.9702
O 0.5585 0.4070 0.5598
O 0.6744 0.1732 0.8043
O 0.7154 0.2330 0.0915
O 0.7387 0.6835 0.5274
O 0.8179 0.8717 0.3230
O 0.8857 0.9387 0.6352
O 0.9837 0.5304 0.9522

Peak list (10 most intense, 2θ = 10–80°, most intense first)
two_theta	I_rel
19.89	100
17.43	51
25.93	47
14.72	41
34.37	26
22.57	24
38.67	23
44.28	19
45.22	13
23.70	12

***

Structure and simulated powder X-ray diffraction pattern of PmSi2Tc4 (DFT lattice parameters and positions (GGA-PBE); CuKα).
Neutral-atom scattering factors, no anomalous dispersion.

Cell and atoms:
Cell lengths 7.2294, 7.2294, 4.1178 Å; angles 90.00, 90.00, 146.74 degrees
Fractional positions:
Pm 0.0000 0.0000 0.0000
Si 0.4104 0.5896 0.5000
Si 0.5896 0.4104 0.5000
Tc 0.1905 0.8095 0.5000
Tc 0.3041 0.6959 0.0000
Tc 0.6959 0.3041 0.0000
Tc 0.8095 0.1905 0.5000

Peak list (10 most intense, 2θ = 10–80°, most intense first)
two_theta	I_rel
36.41	100
12.78	24
43.75	22
43.98	22
45.12	20
63.77	14
56.15	14
75.55	11
75.88	11
33.82	11

***

Structure and simulated powder X-ray diffraction pattern of Li2CuPd5 (DFT lattice parameters and positions (GGA-PBE); CuKα).
Neutral-atom scattering factors, no anomalous dispersion.

Cell and atoms:
Cell lengths 5.4085, 5.4085, 5.5663 Å; angles 120.88, 120.88, 61.39 degrees
Fractional positions:
Li 0.0000 0.0000 0.0000
Li 0.5000 0.5000 0.0000
Cu 0.0000 0.0000 0.5000
Pd 0.0000 0.5000 0.0000
Pd 0.0000 0.5000 0.5000
Pd 0.5000 0.0000 0.0000
Pd 0.5000 0.0000 0.5000
Pd 0.5000 0.5000 0.5000

Peak list (10 most intense, 2θ = 10–80°, most intense first)
two_theta	I_rel
40.43	100
40.65	98
46.32	67
19.90	46
23.85	32
48.81	29
69.51	19
69.62	19
38.34	17
32.16	15

***

Structure and simulated powder X-ray diffraction pattern of InSbPd3 (DFT lattice parameters and positions (GGA-PBE); CuKα).
Neutral-atom scattering factors, no anomalous dispersion.

Cell and atoms:
Cell lengths 5.5305, 4.4062, 8.3586 Å; angles 90.00, 90.00, 90.00 degrees
Fractional positions:
In 0.2500 0.0000 0.1348
In 0.7500 0.0000 0.8652
Sb 0.2500 0.5000 0.6357
Sb 0.7500 0.5000 0.3643
Pd 0.0000 0.5000 0.0000
Pd 0.2500 0.0000 0.8064
Pd 0.2500 0.5000 0.3167
Pd 0.5000 0.5000 0.0000
Pd 0.7500 0.0000 0.1936
Pd 0.7500 0.5000 0.6833

Peak list (10 most intense, 2θ = 10–80°, most intense first)
two_theta	I_rel
38.22	100
39.98	84
40.97	51
10.58	43
32.38	37
39.06	32
41.69	29
50.93	28
22.81	26
57.89	20

***

Structure and simulated powder X-ray diffraction pattern of Ba5InSi2 (DFT lattice parameters and positions (GGA-PBE); CuKα).
Neutral-atom scattering factors, no anomalous dispersion.

Cell and atoms:
Cell lengths 10.6721, 10.6721, 10.6721 Å; angles 132.29, 132.29, 69.77 degrees
Fractional positions:
Ba 0.0000 0.0000 0.0000
Ba 0.0415 0.5415 0.8556
Ba 0.1859 0.0415 0.5000
Ba 0.3141 0.8141 0.8556
Ba 0.4585 0.3141 0.5000
Ba 0.5000 0.5000 0.0000
Ba 0.5415 0.6859 0.5000
Ba 0.6859 0.1859 0.1444
Ba 0.8141 0.9585 0.5000
Ba 0.9585 0.4585 0.1444
In 0.2500 0.2500 0.0000
In 0.7500 0.7500 0.0000
Si 0.1003 0.3997 0.5000
Si 0.3997 0.8997 0.2994
Si 0.6003 0.1003 0.7006
Si 0.8997 0.6003 0.5000

Peak list (10 most intense, 2θ = 10–80°, most intense first)
two_theta	I_rel
29.06	100
27.71	81
32.81	52
23.60	45
25.03	41
49.40	36
29.26	30
46.06	22
53.68	22
43.09	21